1.
Structure and theoretical X-ray diffraction stick pattern of Tb2PrTm9 (a DFT-relaxed cell (GGA-PBE, Alexandria); a wavelength of 1.5418 Å).

Structure:
```
12
Lattice="11.1126 0.0000 0.0000 -5.5563 9.6238 0.0000 0.0000 0.0000 3.4945" Properties=species:S:1:pos:R:3 pbc="T T T"
Tb 0.0000 6.4158 0.0000
Tb 5.5563 3.2079 0.0000
Pr 0.0000 0.0000 0.0000
Tm -2.7781 4.8119 0.0000
Tm 0.0000 3.4343 1.7473
Tm -2.5821 7.9066 1.7473
Tm 2.9742 1.7171 1.7473
Tm 5.5563 0.0000 0.0000
Tm 2.7781 4.8119 0.0000
Tm 2.5821 7.9066 1.7473
Tm 8.1384 1.7171 1.7473
Tm 5.5563 6.1895 1.7473
```

Principal peaks in the range 5° ≤ 2θ ≤ 70°, low angle first:
d (Å)	I (rel.)
2.958	24.2
2.828	55.8
2.778	100.0
2.520	22.4
2.363	14.5
1.982	18.6
1.800	10.4
1.613	18.8
1.604	17.0
1.479	29.7

2.
Structure and theoretical X-ray diffraction stick pattern of Tb3Pr6Tm (a DFT-relaxed cell (GGA-PBE, Alexandria); a wavelength of 1.5418 Å).

Structure:
```
20
Lattice="5.5497 0.0000 0.0000 0.0000 10.2567 0.0000 -0.0109 0.0000 12.4481" Properties=species:S:1:pos:R:3 pbc="T T T"
Tb 0.0000 0.0000 0.0000
Tb 5.5439 1.4931 5.0133
Tb 5.5385 3.6352 11.2373
Tb -0.0055 5.1283 6.2240
Tb 0.0003 6.6215 1.2108
Tb -0.0052 8.7635 7.4348
Pr -0.0069 1.8480 8.3511
Pr -0.0014 3.2804 2.1270
Pr 5.5402 6.9763 10.3210
Pr 5.5456 8.4087 4.0970
Pr 2.7696 0.5767 2.8202
Pr 2.7625 1.9200 12.1314
Pr 2.7679 3.2083 5.9073
Pr 2.7642 4.5517 9.0442
Pr 2.7746 5.7050 3.4039
Pr 2.7709 7.0484 6.5408
Pr 2.7763 8.3367 0.3167
Pr 2.7691 9.6800 9.6279
Tm 2.7694 0.0000 6.2240
Tm 2.7749 5.1283 0.0000
```

Principal peaks in the range 5° ≤ 2θ ≤ 70°, low angle first:
d (Å)	I (rel.)
3.222	34.0
3.161	40.3
2.978	24.1
2.834	100.0
2.789	35.8
2.775	60.3
2.714	35.2
2.638	27.5
1.912	17.3
1.613	24.9

3.
Structure and theoretical X-ray diffraction stick pattern of Tb6Pr2Tm3 (a DFT-relaxed cell (GGA-PBE, Alexandria); a wavelength of 1.5418 Å).

Structure:
```
11
Lattice="3.0574 -5.3016 0.0000 3.0574 5.3016 0.0000 -2.0605 0.0000 11.5454" Properties=species:S:1:pos:R:3 pbc="T T T"
Tb 1.0154 1.7674 2.8236
Tb -0.0196 0.0000 8.7196
Tb 1.0154 -1.7674 2.8236
Tb 3.0389 1.7674 8.7217
Tb 4.0739 0.0000 2.8258
Tb 3.0389 -1.7674 8.7217
Pr 2.0272 3.5333 5.7727
Pr 2.0272 -3.5333 5.7727
Tm 0.0000 0.0000 0.0000
Tm 3.0574 1.7544 0.0000
Tm 3.0574 -1.7544 0.0000
```

Principal peaks in the range 5° ≤ 2θ ≤ 70°, low angle first:
d (Å)	I (rel.)
11.545	12.2
5.235	1.4
5.068	1.4
2.885	100.0
2.602	1.6
2.498	50.5
1.767	35.7
1.507	28.2
1.505	14.1
1.442	12.2

4.
Structure and theoretical X-ray diffraction stick pattern of Tb10PrTm4 (a DFT-relaxed cell (GGA-PBE, Alexandria); a wavelength of 1.5418 Å).

Structure:
```
15
Lattice="-6.0704 6.0704 3.8321 6.0704 -6.0704 3.8321 6.0704 6.0704 -3.8321" Properties=species:S:1:pos:R:3 pbc="T T T"
Tb 4.8450 3.6124 -1.9356
Tb 2.4580 -1.2254 1.8965
Tb 6.0704 0.0000 1.9161
Tb 3.6124 7.2959 -1.9356
Tb 1.2254 2.4580 1.8965
Tb 4.8450 3.6124 1.9356
Tb 2.4580 -1.2254 5.7678
Tb 0.0000 6.0704 1.9161
Tb 3.6124 7.2959 1.9356
Tb 1.2254 2.4580 5.7678
Pr 0.0000 0.0000 3.8321
Tm 3.6490 1.2118 0.0000
Tm 4.8586 -2.4214 3.8321
Tm 1.2118 8.4918 0.0000
Tm 2.4214 4.8586 3.8321
```

Principal peaks in the range 5° ≤ 2θ ≤ 70°, low angle first:
d (Å)	I (rel.)
4.430	26.8
3.837	12.5
2.713	100.0
2.314	14.9
2.215	3.8
1.918	18.3
1.760	6.5
1.716	5.2
1.566	38.1
1.357	11.8

5.
Structure and theoretical X-ray diffraction stick pattern of Tb3Pr2Tm9 (a DFT-relaxed cell (GGA-PBE, Alexandria); a wavelength of 1.5418 Å).

Structure:
```
14
Lattice="8.5873 -7.4702 0.0000 8.5873 7.4702 0.0000 -0.7291 0.0000 3.4738" Properties=species:S:1:pos:R:3 pbc="T T T"
Tb 0.0000 0.0000 0.0000
Tb 4.9598 0.0000 1.0480
Tb 11.4857 0.0000 2.4258
Pr 8.2228 3.4236 1.7369
Pr 8.2228 -3.4236 1.7369
Tm 2.0486 1.6326 2.2479
Tm 4.9994 2.9372 2.8697
Tm 2.0486 -1.6326 2.2479
Tm 11.4462 2.9372 0.6041
Tm 8.5873 0.0000 0.0000
Tm 4.9994 -2.9372 2.8697
Tm 14.3969 1.6326 1.2259
Tm 11.4462 -2.9372 0.6041
Tm 14.3969 -1.6326 1.2259
```

Principal peaks in the range 5° ≤ 2θ ≤ 70°, low angle first:
d (Å)	I (rel.)
2.942	30.9
2.890	35.7
2.801	49.0
2.787	100.0
2.781	62.6
2.733	32.3
2.668	19.6
2.637	42.8
1.585	24.8
1.499	20.4

6.
Structure and theoretical X-ray diffraction stick pattern of Tb7Pr2Tm (a DFT-relaxed cell (GGA-PBE, Alexandria); a wavelength of 1.5418 Å).

Structure:
```
10
Lattice="6.2011 0.0000 0.0000 -1.0380 6.1163 0.0000 -2.0658 -3.4793 8.5712" Properties=species:S:1:pos:R:3 pbc="T T T"
Tb 0.0000 0.0000 0.0000
Tb -1.0406 -1.2160 5.9874
Tb 0.0018 1.0609 3.4384
Tb 1.0248 3.3108 0.8648
Tb 2.0725 -0.6738 7.7065
Tb 3.0955 1.5761 5.1329
Tb 4.1379 3.8530 2.5839
Pr -0.0039 2.1176 6.8437
Pr 3.1012 0.5194 1.7276
Tm 2.0676 -1.7396 4.2856
```

Principal peaks in the range 5° ≤ 2θ ≤ 70°, low angle first:
d (Å)	I (rel.)
2.925	100.0
2.533	50.6
1.791	30.1
1.790	6.0
1.528	25.1
1.527	17.8
1.462	12.4

7.
Structure and theoretical X-ray diffraction stick pattern of Tb5Pr3Tm2 (a DFT-relaxed cell (GGA-PBE, Alexandria); a wavelength of 1.5418 Å).

Structure:
```
20
Lattice="5.3941 -8.0164 0.0000 5.3941 8.0164 0.0000 -5.3537 0.0000 7.7784" Properties=species:S:1:pos:R:3 pbc="T T T"
Tb 1.3788 7.5738 5.8338
Tb -1.2910 1.7830 6.0200
Tb 4.0556 3.6446 1.9446
Tb 1.3858 -1.7830 2.1308
Tb 4.0556 0.5014 1.9446
Tb 1.3788 -0.5014 5.8338
Tb 4.0487 1.7830 5.6476
Tb 1.3788 -3.6446 5.8338
Tb 6.7255 -1.7830 1.7584
Tb 4.0556 -7.5738 1.9446
Pr 1.3026 1.9954 0.3416
Pr 1.3788 4.2610 5.8338
Pr -1.3742 -1.9954 4.2308
Pr 6.8087 1.9954 3.5475
Pr 4.0556 -4.2610 1.9446
Pr 4.1319 -1.9954 7.4367
Tm 1.3176 1.8543 3.5290
Tm -1.3592 -1.8543 7.4182
Tm 6.7936 1.8543 0.3601
Tm 4.1168 -1.8543 4.2493
```

Principal peaks in the range 5° ≤ 2θ ≤ 70°, low angle first:
d (Å)	I (rel.)
2.973	100.0
2.942	53.7
2.929	53.1
2.791	24.3
2.697	49.8
2.394	19.4
1.944	19.7
1.861	19.6
1.608	17.2
1.429	18.4

8.
Structure and theoretical X-ray diffraction stick pattern of Tb10Pr4Tm (a DFT-relaxed cell (GGA-PBE, Alexandria); a wavelength of 1.5418 Å).

Structure:
```
15
Lattice="-5.6831 5.6831 3.9826 5.6831 -5.6831 3.9826 5.6831 5.6831 -3.9826" Properties=species:S:1:pos:R:3 pbc="T T T"
Tb 5.6831 -3.3142 2.3268
Tb 2.3689 0.0000 1.6558
Tb 8.9972 0.0000 1.6558
Tb 5.6831 0.0000 1.9913
Tb 0.0000 2.3689 1.6558
Tb 5.6831 3.3142 2.3268
Tb 0.0000 5.6831 1.9913
Tb -3.3142 5.6831 2.3268
Tb 3.3142 5.6831 2.3268
Tb 0.0000 8.9972 1.6558
Pr 3.0940 3.0940 0.0000
Pr 2.5891 -2.5891 3.9826
Pr -2.5891 2.5891 3.9826
Pr 2.5891 2.5891 3.9826
Tm 0.0000 0.0000 3.9826
```

Principal peaks in the range 5° ≤ 2θ ≤ 70°, low angle first:
d (Å)	I (rel.)
3.261	46.3
2.931	50.1
2.842	100.0
2.829	94.3
2.668	44.5
2.585	27.9
2.223	49.8
1.727	25.8
1.422	27.9
1.398	31.5

9.
Structure and theoretical X-ray diffraction stick pattern of Tb4Pr4Tm (a DFT-relaxed cell (GGA-PBE, Alexandria); a wavelength of 1.5418 Å).

Structure:
```
9
Lattice="-5.4386 5.4386 2.5501 5.4386 -5.4386 2.5501 5.4386 5.4386 -2.5501" Properties=species:S:1:pos:R:3 pbc="T T T"
Tb 3.6396 0.0000 0.0000
Tb 7.2376 0.0000 0.0000
Tb 0.0000 3.6396 0.0000
Tb 0.0000 7.2376 0.0000
Pr 3.6311 3.6311 0.0000
Pr 1.8075 -1.8075 2.5501
Pr -1.8075 1.8075 2.5501
Pr 1.8075 1.8075 2.5501
Tm 0.0000 0.0000 0.0000
```

Principal peaks in the range 5° ≤ 2θ ≤ 70°, low angle first:
d (Å)	I (rel.)
2.955	100.0
2.564	34.0
2.550	16.7
1.813	12.1
1.808	24.1
1.545	28.9
1.539	14.3
1.478	12.4

10.
Structure and theoretical X-ray diffraction stick pattern of Tb7PrTm3 (a DFT-relaxed cell (GGA-PBE, Alexandria); a wavelength of 1.5418 Å).

Structure:
```
11
Lattice="6.9499 0.0000 0.0000 0.0000 5.5518 0.0000 -3.2776 0.0000 9.2904" Properties=species:S:1:pos:R:3 pbc="T T T"
Tb 0.0000 0.0000 0.0000
Tb 0.0742 2.7759 2.6948
Tb 0.1678 2.7759 5.9794
Tb 0.2336 0.0000 7.7338
Tb 3.4388 0.0000 1.5566
Tb 3.5045 2.7759 3.3110
Tb 3.5981 2.7759 6.5956
Pr -1.6388 0.0000 4.6452
Tm -1.3468 2.7759 9.2530
Tm 1.8362 0.0000 4.6452
Tm 5.0192 2.7759 0.0373
```

Principal peaks in the range 5° ≤ 2θ ≤ 70°, low angle first:
d (Å)	I (rel.)
2.841	33.9
2.822	100.0
2.807	76.5
2.793	88.6
2.776	95.3
2.754	29.6
2.705	98.7
1.955	22.1
1.607	25.9
1.473	39.5

11.
Structure and theoretical X-ray diffraction stick pattern of Tb8Pr3Tm (a DFT-relaxed cell (GGA-PBE, Alexandria); a wavelength of 1.5418 Å).

Structure:
```
12
Lattice="-4.3941 4.3941 5.6911 4.3941 -4.3941 5.6911 4.3941 4.3941 -5.6911" Properties=species:S:1:pos:R:3 pbc="T T T"
Tb 3.2946 3.2946 -2.7890
Tb 2.1409 -2.1409 5.5556
Tb 2.2532 2.2532 0.1355
Tb 1.0995 1.0995 2.9021
Tb 1.0995 -1.0995 8.4801
Tb -2.1409 2.1409 5.5556
Tb 2.1409 2.1409 5.8266
Tb -1.0995 1.0995 8.4801
Pr 0.0000 0.0000 0.0000
Pr 4.3941 0.0000 2.8455
Pr 0.0000 4.3941 2.8455
Tm 0.0000 0.0000 5.6911
```

Principal peaks in the range 5° ≤ 2θ ≤ 70°, low angle first:
d (Å)	I (rel.)
6.214	32.9
3.715	66.8
3.478	51.3
3.107	80.8
2.846	71.6
2.728	63.8
2.497	100.0
2.098	51.9
2.050	67.9
1.364	34.6

12.
Structure and theoretical X-ray diffraction stick pattern of Tb7Pr3Tm (a DFT-relaxed cell (GGA-PBE, Alexandria); a wavelength of 1.5418 Å).

Structure:
```
11
Lattice="5.8323 -5.0760 0.0000 5.8323 5.0760 0.0000 -0.4659 0.0000 6.4021" Properties=species:S:1:pos:R:3 pbc="T T T"
Tb 0.0000 0.0000 0.0000
Tb 2.6686 1.7139 1.6841
Tb 2.6483 0.0000 5.0418
Tb 2.6686 -1.7139 1.6841
Tb 8.5302 1.7139 4.7180
Tb 8.5505 0.0000 1.3603
Tb 8.5302 -1.7139 4.7180
Pr 5.8323 1.7791 0.0000
Pr 5.5994 0.0000 3.2011
Pr 5.8323 -1.7791 0.0000
Tm -0.2329 0.0000 3.2011
```

Principal peaks in the range 5° ≤ 2θ ≤ 70°, low angle first:
d (Å)	I (rel.)
2.908	82.8
2.895	76.7
2.874	100.0
2.722	64.9
2.409	60.2
1.807	24.2
1.801	22.6
1.691	22.1
1.600	26.4
1.462	38.6

13.
Structure and theoretical X-ray diffraction stick pattern of Tb2Pr3Tm (a DFT-relaxed cell (GGA-PBE, Alexandria); a wavelength of 1.5418 Å).

Structure:
```
12
Lattice="9.0409 -3.6461 0.0000 9.0409 3.6461 0.0000 -1.4828 0.0000 6.1549" Properties=species:S:1:pos:R:3 pbc="T T T"
Tb 2.9427 0.8975 0.1750
Tb 2.2013 -0.8975 3.2524
Tb 14.3977 0.8975 2.9025
Tb 13.6563 -0.8975 5.9799
Pr 5.3197 0.9200 2.9270
Pr 8.6702 0.9348 1.5387
Pr 4.5783 -0.9200 6.0045
Pr 12.0207 0.9200 0.1504
Pr 7.9288 -0.9348 4.6162
Pr 11.2794 -0.9200 3.2278
Tm 7.9288 2.7657 4.6162
Tm 8.6702 -2.7657 1.5387
```

Principal peaks in the range 5° ≤ 2θ ≤ 70°, low angle first:
d (Å)	I (rel.)
3.139	36.6
2.930	49.5
2.851	100.0
2.712	84.9
2.282	16.5
1.826	25.2
1.707	22.7
1.618	17.4
1.550	29.5
1.537	15.6